Structure and computed X-ray diffraction stick pattern of Sm3CuGeS7 (DFT lattice parameters and positions (PBE); a wavelength of 1.5418 Å).
Kinematic intensities with the Lorentz-polarization factor, no thermal factor.

Largest 8 diffraction maxima, by angle, 2θ = 10–80°:
h k l, Position (°2θ), d [Å], I_rel
1 1 1, 23.27, 3.823, 28
2 0 1, 25.44, 3.501, 100
0 0 2, 30.44, 2.936, 26
2 2 0, 35.66, 2.518, 46
3 1 0, 37.17, 2.419, 34
1 3 1, 40.32, 2.237, 30
2 1 2, 41.17, 2.193, 37
2 2 2, 47.58, 1.911, 25

Atomic structure:
a = 10.0713 Å, b = 10.0713 Å, c = 5.8728 Å
α = 90.00°, β = 90.00°, γ = 120.00°
Space group P6_3 (No. 173)
Asymmetric unit:
Sm 0.1295 0.7729 0.0000 [6 per cell]
Cu 0.0000 0.0000 0.4446 [2 per cell]
Ge 0.3333 0.6667 0.5839 [2 per cell]
S 0.0945 0.8392 0.4679 [6 per cell]
S 0.1017 0.5194 0.7417 [6 per cell]
S 0.3333 0.6667 0.2086 [2 per cell]